Diffraction record for Dy2MnB10. The X-ray powder pattern is theoretical, not measured: it uses a DFT-relaxed cell (PBE, Alexandria) and Cu Kα (λ = 1.5418 Å).
Kinematic intensities with the Lorentz-polarization factor, no thermal factor.

Structure:
Cell: 5.6089 11.1745 4.1436 Å, 90.00 90.00 90.00°
Space group Pbam (No. 55)
Symmetry-distinct sites (fractional):
Dy 0.2123 0.1329 0.0000 (multiplicity 4)
Mn 0.0000 0.5000 0.5000 (multiplicity 2)
B 0.0377 0.3128 0.5000 (multiplicity 4)
B 0.1276 0.9612 0.5000 (multiplicity 4)
B 0.1495 0.8022 0.5000 (multiplicity 4)
B 0.2084 0.3855 0.2012 (multiplicity 8)

Largest 10 diffraction maxima, by angle, 2θ from 15° to 90°:
hkl, 2θ/deg, I_rel
0 0 1, 21.44, 293
1 2 0, 22.46, 728
1 2 1, 31.25, 1000
2 0 0, 31.91, 145
0 4 0, 32.04, 178
2 0 1, 38.77, 356
0 4 1, 38.88, 423
0 0 2, 43.68, 171
2 4 0, 45.85, 221
1 2 2, 49.67, 278


Diffraction record for Te2Mo3WS6. The X-ray powder pattern is theoretical, not measured: it uses a DFT-relaxed cell (PBE, Alexandria) and Cu Kα (λ = 1.5418 Å).
Kinematic intensities with the Lorentz-polarization factor, no thermal factor.

Structure:
Cell: 3.2723 3.2723 33.6316 Å, 90.00 90.00 120.00°
Space group P3m1 (No. 156)
Symmetry-distinct sites (fractional):
Te 0.0000 0.0000 0.0000 (multiplicity 1)
Te 0.0000 0.0000 0.1148 (multiplicity 1)
Mo 0.0000 0.0000 0.8401 (multiplicity 1)
Mo 0.6667 0.3333 0.0574 (multiplicity 1)
Mo 0.6667 0.3333 0.6335 (multiplicity 1)
W 0.0000 0.0000 0.2794 (multiplicity 1)
S 0.0000 0.0000 0.5877 (multiplicity 1)
S 0.0000 0.0000 0.6792 (multiplicity 1)
S 0.6667 0.3333 0.2334 (multiplicity 1)
S 0.6667 0.3333 0.3253 (multiplicity 1)
S 0.6667 0.3333 0.7944 (multiplicity 1)
S 0.6667 0.3333 0.8859 (multiplicity 1)

Largest 10 diffraction maxima, by angle, 2θ from 15° to 90°:
hkl, 2θ/deg, I_rel
0 0 6, 15.81, 195
1 0 0, 31.57, 461
0 1 1, 31.69, 177
1 0 4, 33.37, 150
0 1 6, 35.50, 174
1 0 7, 36.82, 1000
0 1 11, 43.54, 349
1 0 12, 45.52, 312
1 1 0, 56.23, 318
0 2 7, 69.12, 153


Diffraction record for Na3AlAs2O8. The X-ray powder pattern is theoretical, not measured: it uses a DFT-relaxed cell (PBE, Alexandria) and Cu Kα (λ = 1.5418 Å).
Kinematic intensities with the Lorentz-polarization factor, no thermal factor.

Structure:
Cell: 6.6980 11.9768 9.6198 Å, 90.00 96.42 90.00°
Space group P2_1/c (No. 14)
Symmetry-distinct sites (fractional):
Na 0.0966 0.0824 0.2850 (multiplicity 4)
Na 0.2308 0.6529 0.6298 (multiplicity 4)
Na 0.3755 0.6052 0.9785 (multiplicity 4)
Al 0.2809 0.1466 0.9380 (multiplicity 4)
As 0.1367 0.1735 0.6220 (multiplicity 4)
As 0.3957 0.5845 0.3223 (multiplicity 4)
O 0.0789 0.6165 0.8353 (multiplicity 4)
O 0.0859 0.1974 0.0345 (multiplicity 4)
O 0.2302 0.0033 0.9021 (multiplicity 4)
O 0.2534 0.6559 0.1964 (multiplicity 4)
O 0.2718 0.0952 0.5203 (multiplicity 4)
O 0.2758 0.2198 0.7768 (multiplicity 4)
O 0.4083 0.0106 0.2259 (multiplicity 4)
O 0.4790 0.6727 0.4657 (multiplicity 4)

Largest 10 diffraction maxima, by angle, 2θ from 15° to 90°:
hkl, 2θ/deg, I_rel
1 1 -1, 17.05, 971
0 1 2, 19.98, 843
1 2 1, 22.65, 707
1 3 -1, 27.16, 359
2 1 0, 27.82, 552
1 2 2, 28.40, 353
0 4 1, 31.28, 1000
0 2 3, 31.82, 495
1 1 3, 33.35, 814
2 0 2, 34.51, 451


Diffraction record for Rb4AcBr7. The X-ray powder pattern is theoretical, not measured: it uses a DFT-relaxed cell (PBE, Alexandria) and Cu Kα (λ = 1.5418 Å).
Kinematic intensities with the Lorentz-polarization factor, no thermal factor.

Structure:
Cell: 26.8167 6.0182 7.5311 Å, 90.00 105.57 90.00°
Space group C2/m (No. 12)
Symmetry-distinct sites (fractional):
Rb 0.0936 0.0000 0.1496 (multiplicity 4)
Rb 0.2222 0.0000 0.7245 (multiplicity 4)
Ac 0.0000 0.5000 0.5000 (multiplicity 2)
Br 0.0000 0.0000 0.5000 (multiplicity 2)
Br 0.0593 0.5000 0.8991 (multiplicity 4)
Br 0.1067 0.5000 0.4339 (multiplicity 4)
Br 0.2195 0.0000 0.2085 (multiplicity 4)

Largest 10 diffraction maxima, by angle, 2θ from 15° to 90°:
hkl, 2θ/deg, I_rel
2 0 1, 15.53, 231
3 1 0, 17.98, 344
1 1 -1, 18.88, 197
6 0 -1, 20.98, 326
2 0 -2, 23.63, 277
8 0 -1, 27.04, 285
2 0 2, 27.26, 225
0 2 0, 29.71, 1000
9 1 -2, 37.45, 273
9 1 1, 39.65, 221


Diffraction record for SrAcGdMg. The X-ray powder pattern is theoretical, not measured: it uses a DFT-relaxed cell (PBE, Alexandria) and Cu Kα (λ = 1.5418 Å).
Kinematic intensities with the Lorentz-polarization factor, no thermal factor.

Structure:
Cell: 8.4305 8.4305 8.4305 Å, 90.00 90.00 90.00°
Space group F-43m (No. 216)
Symmetry-distinct sites (fractional):
Sr 0.0000 0.0000 0.0000 (multiplicity 4)
Ac 0.2500 0.2500 0.7500 (multiplicity 4)
Gd 0.0000 0.0000 0.5000 (multiplicity 4)
Mg 0.2500 0.2500 0.2500 (multiplicity 4)

Largest 10 diffraction maxima, by angle, 2θ from 15° to 90°:
hkl, 2θ/deg, I_rel
1 1 1, 18.23, 380
2 2 0, 29.98, 1000
3 1 1, 35.31, 229
4 0 0, 42.91, 190
3 3 1, 46.98, 106
4 2 2, 53.23, 405
5 1 1, 56.74, 82
4 4 0, 62.30, 126
6 2 0, 70.67, 174
6 4 2, 86.36, 210


Diffraction record for Sr2TaZnS. The X-ray powder pattern is theoretical, not measured: it uses a DFT-relaxed cell (PBE, Alexandria) and Cu Kα (λ = 1.5418 Å).
Kinematic intensities with the Lorentz-polarization factor, no thermal factor.

Structure:
Cell: 6.1826 6.1826 4.6477 Å, 90.00 90.00 90.00°
Space group P4/mmm (No. 123)
Symmetry-distinct sites (fractional):
Sr 0.0000 0.5000 0.0000 (multiplicity 2)
Ta 0.0000 0.0000 0.0000 (multiplicity 1)
Zn 0.5000 0.5000 0.5000 (multiplicity 1)
S 0.0000 0.0000 0.5000 (multiplicity 1)

Largest 10 diffraction maxima, by angle, 2θ from 15° to 90°:
hkl, 2θ/deg, I_rel
0 0 1, 19.10, 392
1 0 1, 23.95, 689
2 0 0, 28.88, 1000
2 0 1, 34.86, 359
2 1 1, 37.86, 433
0 0 2, 38.75, 226
2 2 0, 41.30, 376
2 0 2, 49.04, 454
2 2 2, 57.92, 274
4 2 2, 80.91, 209


Diffraction record for BeNi3Pt6. The X-ray powder pattern is theoretical, not measured: it uses a DFT-relaxed cell (PBE, Alexandria) and Cu Kα (λ = 1.5418 Å).
Kinematic intensities with the Lorentz-polarization factor, no thermal factor.

Structure:
Cell: 7.1408 4.3452 9.4310 Å, 90.00 111.01 90.00°
Space group P2_1/m (No. 11)
Symmetry-distinct sites (fractional):
Be 0.0348 0.2500 0.4206 (multiplicity 2)
Ni 0.2253 0.2500 0.0299 (multiplicity 2)
Ni 0.4040 0.7500 0.7830 (multiplicity 2)
Ni 0.4745 0.2500 0.6359 (multiplicity 2)
Pt 0.0874 0.7500 0.8540 (multiplicity 2)
Pt 0.1487 0.7500 0.1698 (multiplicity 2)
Pt 0.1518 0.2500 0.6904 (multiplicity 2)
Pt 0.2447 0.7500 0.4993 (multiplicity 2)
Pt 0.3226 0.2500 0.3443 (multiplicity 2)
Pt 0.4681 0.7500 0.0749 (multiplicity 2)

Largest 10 diffraction maxima, by angle, 2θ from 15° to 90°:
hkl, 2θ/deg, I_rel
1 1 -2, 28.59, 481
2 0 1, 31.94, 267
1 1 -3, 35.33, 245
2 1 -3, 38.82, 358
2 0 -4, 40.20, 255
0 2 0, 41.57, 707
1 1 3, 43.22, 1000
3 1 -1, 43.57, 861
2 1 -4, 45.50, 339
1 3 3, 76.99, 184


Diffraction record for Ga2NiI. The X-ray powder pattern is theoretical, not measured: it uses a DFT-relaxed cell (PBE, Alexandria) and Cu Kα (λ = 1.5418 Å).
Kinematic intensities with the Lorentz-polarization factor, no thermal factor.

Structure:
Cell: 5.9193 5.9193 12.8999 Å, 90.00 90.00 90.00°
Space group I-42d (No. 122)
Symmetry-distinct sites (fractional):
Ga 0.1226 0.2500 0.1250 (multiplicity 8)
Ni 0.0000 0.0000 0.0000 (multiplicity 4)
I 0.0000 0.0000 0.5000 (multiplicity 4)

Largest 10 diffraction maxima, by angle, 2θ from 15° to 90°:
hkl, 2θ/deg, I_rel
1 1 2, 25.37, 1000
1 0 3, 25.61, 187
2 0 0, 30.20, 97
2 1 1, 34.59, 273
2 0 4, 41.41, 390
2 2 0, 43.23, 87
1 1 6, 47.55, 176
3 1 2, 50.79, 223
2 2 4, 52.10, 108
3 1 6, 66.20, 98


Diffraction record for K2Ga3. The X-ray powder pattern is theoretical, not measured: it uses a DFT-relaxed cell (PBE, Alexandria) and Cu Kα (λ = 1.5418 Å).
Kinematic intensities with the Lorentz-polarization factor, no thermal factor.

Structure:
Cell: 6.1846 6.1846 14.8582 Å, 90.00 90.00 90.00°
Space group I4/mmm (No. 139)
Symmetry-distinct sites (fractional):
K 0.0000 0.0000 0.1099 (multiplicity 4)
K 0.0000 0.5000 0.2500 (multiplicity 4)
Ga 0.0000 0.0000 0.3600 (multiplicity 4)
Ga 0.0000 0.2948 0.5000 (multiplicity 8)

Largest 10 diffraction maxima, by angle, 2θ from 15° to 90°:
hkl, 2θ/deg, I_rel
1 0 1, 15.52, 704
2 0 0, 28.87, 503
1 1 4, 31.60, 1000
2 1 1, 32.94, 228
2 1 3, 37.23, 590
2 2 2, 43.13, 342
3 0 1, 44.36, 230
1 0 7, 45.16, 152
2 2 4, 48.30, 305
5 1 4, 83.92, 172


Diffraction record for PrEuBiSb. The X-ray powder pattern is theoretical, not measured: it uses a DFT-relaxed cell (PBE, Alexandria) and Cu Kα (λ = 1.5418 Å).
Kinematic intensities with the Lorentz-polarization factor, no thermal factor.

Structure:
Cell: 7.9716 7.9716 7.9716 Å, 90.00 90.00 90.00°
Space group F-43m (No. 216)
Symmetry-distinct sites (fractional):
Pr 0.0000 0.0000 0.0000 (multiplicity 4)
Eu 0.0000 0.0000 0.5000 (multiplicity 4)
Bi 0.2500 0.2500 0.2500 (multiplicity 4)
Sb 0.2500 0.2500 0.7500 (multiplicity 4)

Largest 10 diffraction maxima, by angle, 2θ from 15° to 90°:
hkl, 2θ/deg, I_rel
1 1 1, 19.29, 39
2 2 0, 31.75, 1000
3 1 1, 37.42, 25
4 0 0, 45.52, 186
3 3 1, 49.86, 12
4 2 2, 56.56, 391
4 4 0, 66.33, 121
5 3 1, 69.80, 10
6 2 0, 75.42, 169
4 4 4, 84.14, 43


Diffraction record for Sr2MnHg2. The X-ray powder pattern is theoretical, not measured: it uses a DFT-relaxed cell (PBE, Alexandria) and Cu Kα (λ = 1.5418 Å).
Kinematic intensities with the Lorentz-polarization factor, no thermal factor.

Structure:
Cell: 6.3791 6.3791 8.2662 Å, 90.00 90.00 90.00°
Space group I4/mmm (No. 139)
Symmetry-distinct sites (fractional):
Sr 0.0000 0.5000 0.2500 (multiplicity 4)
Mn 0.0000 0.0000 0.0000 (multiplicity 2)
Hg 0.0000 0.0000 0.3311 (multiplicity 4)

Largest 10 diffraction maxima, by angle, 2θ from 15° to 90°:
hkl, 2θ/deg, I_rel
1 0 1, 17.56, 271
1 1 0, 19.68, 442
0 0 2, 21.50, 254
2 0 0, 27.97, 1000
1 0 3, 35.51, 851
2 2 0, 39.98, 388
2 1 3, 45.79, 694
3 2 3, 62.38, 277
4 2 0, 65.43, 181
4 1 3, 69.72, 243


Diffraction record for Ac2GePd6. The X-ray powder pattern is theoretical, not measured: it uses a DFT-relaxed cell (PBE, Alexandria) and Cu Kα (λ = 1.5418 Å).
Kinematic intensities with the Lorentz-polarization factor, no thermal factor.

Structure:
Cell: 9.0387 9.0387 9.0387 Å, 90.00 90.00 90.00°
Space group Fm-3m (No. 225)
Symmetry-distinct sites (fractional):
Ac 0.2500 0.2500 0.2500 (multiplicity 8)
Ge 0.0000 0.0000 0.0000 (multiplicity 4)
Pd 0.0000 0.0000 0.2763 (multiplicity 24)

Largest 10 diffraction maxima, by angle, 2θ from 15° to 90°:
hkl, 2θ/deg, I_rel
2 2 0, 27.92, 274
2 2 2, 34.37, 1000
4 0 0, 39.90, 651
3 3 1, 43.65, 96
4 2 2, 49.40, 90
4 4 0, 57.70, 407
6 2 0, 65.29, 86
6 2 2, 68.91, 331
4 4 4, 72.44, 126
6 4 2, 79.32, 80